1.
Simulated powder diffractogram
Compound: La2CoC4
Radiation: λ = 1.5418 Å (Cu Kα)
Structure: a cell relaxed with GGA-PBE

Principal peaks in the range 10 to 90 degrees two-theta, most intense first:
- d 3.363, 2θ 26.5, intensity 100.0
- d 2.942, 2θ 30.4, intensity 53.5
- d 3.210, 2θ 27.8, intensity 39.3
- d 2.169, 2θ 41.6, intensity 38.5
- d 2.661, 2θ 33.7, intensity 37.3
- d 1.620, 2θ 56.8, intensity 30.6
- d 2.430, 2θ 37.0, intensity 27.3
- d 1.882, 2θ 48.4, intensity 26.7
- d 2.439, 2θ 36.9, intensity 20.5
- d 1.750, 2θ 52.3, intensity 15.8

```
La2CoC4
1.0
-3.7438 5.3305 2.6585
3.7438 -5.3305 2.6585
3.7438 5.3305 -2.6585
La Co C
4 2 8
direct
0.1435 0.1731 0.3166
0.3565 0.6731 0.0296
0.6435 0.3269 0.9704
0.8565 0.8269 0.6834
0.2500 0.7500 0.5000
0.7500 0.2500 0.5000
0.0778 0.6609 0.7387
0.1206 0.8306 0.9512
0.3794 0.3306 0.7100
0.4222 0.1609 0.5830
0.5778 0.8391 0.4170
0.6206 0.6694 0.2900
0.8794 0.1694 0.0488
0.9222 0.3391 0.2613
```


2.
Simulated powder diffractogram
Compound: La2Co6C
Radiation: λ = 1.5418 Å (Cu Kα)
Structure: a cell relaxed with GGA-PBE

Principal peaks in the range 10 to 90 degrees two-theta, most intense first:
- d 2.193, 2θ 41.2, intensity 100.0
- d 3.380, 2θ 26.4, intensity 28.7
- d 2.297, 2θ 39.2, intensity 26.1
- d 2.495, 2θ 36.0, intensity 22.6
- d 1.305, 2θ 72.4, intensity 16.3
- d 1.220, 2θ 78.3, intensity 15.0
- d 1.690, 2θ 54.3, intensity 14.6
- d 1.441, 2θ 64.7, intensity 14.5
- d 2.881, 2θ 31.0, intensity 11.9
- d 1.204, 2θ 79.6, intensity 10.2

```
La2Co6C
1.0
5.7623 0.0000 0.0000
-2.8811 4.9903 0.0000
0.0000 0.0000 4.5949
La Co C
2 6 1
direct
0.3333 0.6667 0.2630
0.6667 0.3333 0.7370
0.1460 0.2920 0.7641
0.1460 0.8540 0.7641
0.2920 0.1460 0.2359
0.7080 0.8540 0.7641
0.8540 0.1460 0.2359
0.8540 0.7080 0.2359
0.0000 0.0000 0.5000
```


3.
Simulated powder diffractogram
Compound: La2Co17C2
Radiation: λ = 1.5418 Å (Cu Kα)
Structure: a cell relaxed with GGA-PBE

Principal peaks in the range 10 to 90 degrees two-theta, most intense first:
- d 2.124, 2θ 42.6, intensity 100.0
- d 2.151, 2θ 42.0, intensity 93.4
- d 2.034, 2θ 44.6, intensity 64.5
- d 2.131, 2θ 42.4, intensity 63.1
- d 2.167, 2θ 41.7, intensity 55.5
- d 2.496, 2θ 36.0, intensity 47.0
- d 2.966, 2θ 30.1, intensity 45.5
- d 2.370, 2θ 38.0, intensity 44.8
- d 1.483, 2θ 62.6, intensity 33.1
- d 2.349, 2θ 38.3, intensity 27.7

```
La2Co17C2
1.0
4.7458 -4.3347 0.0000
4.7458 4.3347 0.0000
-0.9156 0.0000 6.3711
La Co C
2 17 2
direct
0.1398 0.1398 0.3237
0.8602 0.8602 0.6763
0.0000 0.5000 0.0000
0.1574 0.6348 0.3407
0.1615 0.1615 0.8648
0.2166 0.4985 0.7150
0.2294 0.7706 0.0000
0.3652 0.8426 0.6593
0.4052 0.4052 0.0952
0.4985 0.2166 0.7150
0.5000 0.0000 0.0000
0.5000 0.5000 0.5000
0.5015 0.7834 0.2850
0.5948 0.5948 0.9048
0.6348 0.1574 0.3407
0.7706 0.2294 0.0000
0.7834 0.5015 0.2850
0.8385 0.8385 0.1352
0.8426 0.3652 0.6593
0.0000 0.5000 0.5000
0.5000 0.0000 0.5000
```


4.
Simulated powder diffractogram
Compound: La2CoRuC
Radiation: λ = 1.5418 Å (Cu Kα)
Structure: a cell relaxed with GGA-PBE

Principal peaks in the range 10 to 90 degrees two-theta, most intense first:
- d 2.586, 2θ 34.7, intensity 100.0
- d 2.636, 2θ 34.0, intensity 58.2
- d 1.512, 2θ 61.3, intensity 37.8
- d 1.864, 2θ 48.9, intensity 20.5
- d 1.484, 2θ 62.6, intensity 19.1
- d 1.293, 2θ 73.2, intensity 11.9
- d 1.795, 2θ 50.9, intensity 9.1
- d 1.179, 2θ 81.7, intensity 8.8
- d 1.174, 2θ 82.1, intensity 8.1
- d 1.140, 2θ 85.1, intensity 7.5

```
La2CoRuC
1.0
5.2711 0.0000 0.0000
0.0000 5.2711 0.0000
0.0000 0.0000 3.5905
La Co Ru C
2 1 1 1
direct
0.0000 0.5000 0.0000
0.5000 0.0000 0.0000
0.0000 0.0000 0.5000
0.5000 0.5000 0.5000
0.0000 0.0000 0.0000
```


- What is the formula in the fourth record?
  La2CoRuC